(1)
Simulated X-ray powder pattern
Compound: Er8AlZn2
Radiation: CuKα
Structure: a DFT-relaxed cell (GGA-PBE, Alexandria)

Top 6 peaks for 10 to 80 degrees two-theta, by intensity:
two_theta	I (rel.)
34.13	100.0
36.83	27.8
32.82	22.2
26.06	19.1
37.55	17.7
64.61	15.7

Crystal structure
```
Er8AlZn2
1.0
-2.4407 4.1049 7.1860
2.4407 -4.1049 7.1860
2.4407 4.1049 -7.1860
Er Al Zn
8 1 2
direct
0.1180 0.3377 0.7804
0.1372 0.1372 0.0000
0.3122 0.0000 0.3122
0.4427 0.6623 0.7804
0.5573 0.3377 0.2196
0.6878 0.0000 0.6878
0.8628 0.8628 0.0000
0.8820 0.6623 0.2196
0.0000 0.5000 0.5000
0.3044 0.8044 0.5000
0.6956 0.1956 0.5000
```

(2)
Simulated X-ray powder pattern
Compound: Er11Al9Zn4
Radiation: CuKα
Structure: a DFT-relaxed cell (GGA-PBE, Alexandria)

Top 6 peaks for 10 to 80 degrees two-theta, by intensity:
two_theta	I (rel.)
35.83	100.0
25.39	43.7
36.21	34.6
24.85	28.4
38.17	17.6
34.02	17.1

Crystal structure
```
Er11Al9Zn4
1.0
7.0049 -10.5400 0.0000
7.0049 10.5400 0.0000
0.0000 0.0000 3.5826
Er Al Zn
11 9 4
direct
0.0000 0.0000 0.0000
0.0568 0.4084 0.0000
0.1618 0.8382 0.0000
0.2991 0.2991 0.0000
0.3670 0.6330 0.0000
0.4084 0.0568 0.0000
0.5916 0.9432 0.0000
0.6330 0.3670 0.0000
0.7009 0.7009 0.0000
0.8382 0.1618 0.0000
0.9432 0.5916 0.0000
0.0732 0.2157 0.5000
0.1630 0.6311 0.5000
0.2157 0.0732 0.5000
0.3689 0.8370 0.5000
0.5000 0.5000 0.5000
0.6311 0.1630 0.5000
0.7843 0.9268 0.5000
0.8370 0.3689 0.5000
0.9268 0.7843 0.5000
0.2457 0.4482 0.5000
0.4482 0.2457 0.5000
0.5518 0.7543 0.5000
0.7543 0.5518 0.5000
```

(3)
Simulated X-ray powder pattern
Compound: Er3AlZn3
Radiation: CuKα
Structure: a DFT-relaxed cell (GGA-PBE, Alexandria)

Top 6 peaks for 10 to 80 degrees two-theta, by intensity:
two_theta	I (rel.)
33.67	100.0
34.46	61.6
38.47	50.8
24.30	38.3
54.14	33.9
40.43	31.3

Crystal structure
```
Er3AlZn3
1.0
3.5334 0.0000 0.0000
0.0000 4.4626 0.0000
0.0000 0.0000 19.2374
Er Al Zn
6 2 6
direct
0.0000 0.0000 0.0000
0.0000 0.0000 0.3898
0.0000 0.5000 0.1911
0.5000 0.0000 0.6911
0.5000 0.5000 0.5000
0.5000 0.5000 0.8898
0.0000 0.5000 0.7596
0.5000 0.0000 0.2596
0.0000 0.0000 0.5535
0.0000 0.0000 0.8331
0.0000 0.5000 0.6262
0.5000 0.0000 0.1262
0.5000 0.5000 0.0535
0.5000 0.5000 0.3331
```

(4)
Simulated X-ray powder pattern
Compound: Eu3Al
Radiation: CuKα
Structure: a DFT-relaxed cell (GGA-PBE, Alexandria)

Top 6 peaks for 10 to 80 degrees two-theta, by intensity:
two_theta	I (rel.)
31.22	100.0
27.59	32.6
56.09	29.6
31.62	27.5
23.39	18.2
30.26	18.1

Crystal structure
```
Eu3Al
1.0
4.0176 0.0000 0.0000
0.0000 5.6599 0.0000
0.0000 0.0000 11.8138
Eu Al
6 2
direct
0.0000 0.0000 0.0000
0.0000 0.5000 0.2145
0.0000 0.5000 0.7855
0.5000 0.0000 0.2855
0.5000 0.0000 0.7145
0.5000 0.5000 0.5000
0.0000 0.0000 0.5000
0.5000 0.5000 0.0000
```

(5)
Simulated X-ray powder pattern
Compound: EuAl8Fe4
Radiation: CuKα
Structure: a DFT-relaxed cell (GGA-PBE, Alexandria)

Top 6 peaks for 10 to 80 degrees two-theta, by intensity:
two_theta	I (rel.)
41.21	100.0
28.83	70.4
41.35	67.1
20.33	33.6
35.52	31.0
14.29	29.8

Crystal structure
```
EuAl8Fe4
1.0
-4.3839 4.3839 2.5177
4.3839 -4.3839 2.5177
4.3839 4.3839 -2.5177
Eu Al Fe
1 8 4
direct
0.0000 0.0000 0.0000
0.0000 0.3397 0.3397
0.0000 0.6603 0.6603
0.2748 0.5000 0.7748
0.3397 0.0000 0.3397
0.5000 0.2748 0.7748
0.5000 0.7252 0.2252
0.6603 0.0000 0.6603
0.7252 0.5000 0.2252
0.0000 0.0000 0.5000
0.0000 0.5000 0.0000
0.5000 0.0000 0.0000
0.5000 0.5000 0.5000
```

(6)
Simulated X-ray powder pattern
Compound: EuMg16Al12
Radiation: CuKα
Structure: a DFT-relaxed cell (GGA-PBE, Alexandria)

Top 6 peaks for 10 to 80 degrees two-theta, by intensity:
two_theta	I (rel.)
36.01	100.0
11.83	38.5
64.74	27.9
31.64	22.1
39.96	20.5
20.56	18.8

Crystal structure
```
EuMg16Al12
1.0
-5.2906 5.2906 5.2906
5.2906 -5.2906 5.2906
5.2906 5.2906 -5.2906
Eu Mg Al
1 16 12
direct
0.0000 0.0000 0.0000
0.0000 0.0000 0.3601
0.0000 0.3190 0.6028
0.0000 0.3601 0.0000
0.0000 0.6028 0.3190
0.2838 0.6810 0.6810
0.3190 0.0000 0.6028
0.3190 0.6028 0.0000
0.3601 0.0000 0.0000
0.3972 0.3972 0.7162
0.3972 0.7162 0.3972
0.6028 0.0000 0.3190
0.6028 0.3190 0.0000
0.6399 0.6399 0.6399
0.6810 0.2838 0.6810
0.6810 0.6810 0.2838
0.7162 0.3972 0.3972
0.0000 0.6295 0.8132
0.0000 0.8132 0.6295
0.1837 0.3705 0.3705
0.1868 0.1868 0.8163
0.1868 0.8163 0.1868
0.3705 0.1837 0.3705
0.3705 0.3705 0.1837
0.6295 0.0000 0.8132
0.6295 0.8132 0.0000
0.8132 0.0000 0.6295
0.8132 0.6295 0.0000
0.8163 0.1868 0.1868
```

(7)
Simulated X-ray powder pattern
Compound: Eu2Mn5Al12
Radiation: CuKα
Structure: a DFT-relaxed cell (GGA-PBE, Alexandria)

Top 6 peaks for 10 to 80 degrees two-theta, by intensity:
two_theta	I (rel.)
40.05	100.0
39.63	95.9
28.32	94.0
19.52	70.5
34.14	56.4
41.33	55.5

Crystal structure
```
Eu2Mn5Al12
1.0
4.5486 2.6261 4.3713
-4.5486 2.6261 4.3713
0.0000 -5.2523 4.3713
Eu Mn Al
2 5 12
direct
0.1566 0.1566 0.1566
0.8434 0.8434 0.8434
0.0000 0.5000 0.5000
0.4007 0.4007 0.4007
0.5000 0.0000 0.5000
0.5000 0.5000 0.0000
0.5993 0.5993 0.5993
0.1633 0.1633 0.6201
0.1633 0.6201 0.1633
0.2192 0.5000 0.7808
0.2192 0.7808 0.5000
0.3799 0.8367 0.8367
0.5000 0.2192 0.7808
0.5000 0.7808 0.2192
0.6201 0.1633 0.1633
0.7808 0.2192 0.5000
0.7808 0.5000 0.2192
0.8367 0.3799 0.8367
0.8367 0.8367 0.3799
```

(8)
Simulated X-ray powder pattern
Compound: Eu2Al4O9
Radiation: CuKα
Structure: a DFT-relaxed cell (GGA-PBE, Alexandria)

Top 6 peaks for 10 to 80 degrees two-theta, by intensity:
two_theta	I (rel.)
30.27	100.0
15.41	70.7
28.77	66.1
40.91	42.6
26.16	33.4
47.39	32.5

Crystal structure
```
Eu2Al4O9
1.0
7.5323 0.0000 0.0000
0.0000 8.4555 0.0000
0.0000 0.0000 5.7501
Eu Al O
4 8 18
direct
0.1590 0.1870 0.0000
0.3410 0.6870 0.0000
0.6590 0.3130 0.0000
0.8410 0.8130 0.0000
0.0000 0.5000 0.2574
0.0000 0.5000 0.7426
0.1377 0.8366 0.5000
0.3623 0.3366 0.5000
0.5000 0.0000 0.2574
0.5000 0.0000 0.7426
0.6377 0.6634 0.5000
0.8623 0.1634 0.5000
0.0000 0.0000 0.5000
0.0973 0.7174 0.2488
0.0973 0.7174 0.7512
0.1494 0.4279 0.5000
0.1595 0.4535 0.0000
0.3405 0.9535 0.0000
0.3506 0.9279 0.5000
0.4027 0.2174 0.2488
0.4027 0.2174 0.7512
0.5000 0.5000 0.5000
0.5973 0.7826 0.2488
0.5973 0.7826 0.7512
0.6494 0.0721 0.5000
0.6595 0.0465 0.0000
0.8405 0.5465 0.0000
0.8506 0.5721 0.5000
0.9027 0.2826 0.2488
0.9027 0.2826 0.7512
```